Starting from the PBE+U geometry in Alexandria, the X-ray powder pattern of PmW2O8 was simulated for Cu Kα.
Lines closer than 0.1° are merged.

Peak list (12 most intense, 10° ≤ 2θ ≤ 80°, in order of rising 2θ)
2theta, I/Imax
15.5, 31
19.8, 24
25.9, 13
29.8, 9
30.3, 100
31.3, 14
37.0, 16
49.2, 38
53.3, 16
55.1, 19
62.6, 26
63.1, 9

Structure:
Cell: 6.669 6.669 6.669 Å, 137.25 137.25 62.05°
Atoms (fractional coordinates):
Pm (0.000, 0.000, 0.000)
W (0.250, 0.750, 0.500)
W (0.750, 0.250, 0.500)
O (0.101, 0.101, 0.498)
O (0.101, 0.603, 0.000)
O (0.397, 0.397, 0.498)
O (0.397, 0.899, 0.000)
O (0.603, 0.101, 0.000)
O (0.603, 0.603, 0.502)
O (0.899, 0.397, 0.000)
O (0.899, 0.899, 0.502)